# Th2CrN3
Computed X-ray powder pattern, Cu Ka. Input: a structure optimized by DFT (PBE).
No peak broadening, texture or thermal motion is included.

Structure:
a b c (Å): 3.5617 3.7886 12.9171
angles (deg): 90.00 90.00 90.00
Space group Immm (No. 71)
Unique sites:
Th  0.0000  0.0000  0.1455 [4 per cell]
Cr  0.0000  0.0000  0.5000 [2 per cell]
N  0.0000  0.0000  0.3356 [4 per cell]
N  0.0000  0.5000  0.5000 [2 per cell]

Main lines, sorted by position (5° ≤ 2θ ≤ 70°):
2.844 Å, 31.5 deg, I 87, hkl 0 1 3
2.744 Å, 32.6 deg, I 90, hkl 1 0 3
2.595 Å, 34.6 deg, I 100, hkl 1 1 0
2.023 Å, 44.8 deg, I 49, hkl 1 1 4
1.658 Å, 55.4 deg, I 52, hkl 0 1 7
1.559 Å, 59.3 deg, I 43, hkl 1 2 3

# TiCrN2
Computed X-ray powder pattern, Cu Ka. Input: a structure optimized by DFT (PBE).
No peak broadening, texture or thermal motion is included.

Structure:
a b c (Å): 3.0054 3.0054 14.1666
angles (deg): 90.00 90.00 120.00
Space group R-3m (No. 166, hexagonal axes)
Unique sites:
Ti  0.0000  0.0000  0.0000 [3 per cell]
Cr  0.0000  0.0000  0.5000 [3 per cell]
N  0.0000  0.0000  0.2481 [6 per cell]

Main lines, sorted by position (5° ≤ 2θ ≤ 70°):
4.722 Å, 18.8 deg, I 1, hkl 0 0 3
2.443 Å, 36.8 deg, I 56, hkl 0 1 2
2.361 Å, 38.1 deg, I 17, hkl 0 0 6
2.097 Å, 43.1 deg, I 100, hkl 1 0 4
1.503 Å, 61.7 deg, I 29, hkl 1 1 0
1.464 Å, 63.5 deg, I 26, hkl 0 1 8

# Ti2CrN3
Computed X-ray powder pattern, Cu Ka. Input: a structure optimized by DFT (PBE).
No peak broadening, texture or thermal motion is included.

Structure:
a b c (Å): 2.8240 3.5694 11.4181
angles (deg): 90.00 90.00 90.00
Space group Immm (No. 71)
Unique sites:
Ti  0.0000  0.0000  0.1543 [4 per cell]
Cr  0.0000  0.0000  0.5000 [2 per cell]
N  0.0000  0.0000  0.3296 [4 per cell]
N  0.0000  0.5000  0.5000 [2 per cell]

Main lines, sorted by position (5° ≤ 2θ ≤ 70°):
2.604 Å, 34.4 deg, I 70, hkl 0 1 3
2.268 Å, 39.7 deg, I 73, hkl 1 0 3
2.215 Å, 40.7 deg, I 100, hkl 1 1 0
1.903 Å, 47.8 deg, I 35, hkl 0 0 6
1.785 Å, 51.2 deg, I 31, hkl 0 2 0
1.443 Å, 64.6 deg, I 38, hkl 1 1 6

# CrW2N3
Computed X-ray powder pattern, Cu Ka. Input: a structure optimized by DFT (PBE).
No peak broadening, texture or thermal motion is included.

Structure:
a b c (Å): 2.8087 3.7003 11.4011
angles (deg): 90.00 90.00 90.00
Space group Immm (No. 71)
Unique sites:
Cr  0.0000  0.0000  0.0000 [2 per cell]
W  0.0000  0.0000  0.3549 [4 per cell]
N  0.0000  0.0000  0.1753 [4 per cell]
N  0.0000  0.5000  0.0000 [2 per cell]

Main lines, sorted by position (5° ≤ 2θ ≤ 70°):
3.520 Å, 25.3 deg, I 49, hkl 0 1 1
2.651 Å, 33.8 deg, I 100, hkl 0 1 3
2.259 Å, 39.9 deg, I 74, hkl 1 0 3
2.237 Å, 40.3 deg, I 95, hkl 1 1 0
1.760 Å, 52.0 deg, I 41, hkl 1 1 4
1.431 Å, 65.2 deg, I 35, hkl 1 2 3

# Zn3Cr2N4
Computed X-ray powder pattern, Cu Ka. Input: a structure optimized by DFT (PBE).
No peak broadening, texture or thermal motion is included.

Structure:
a b c (Å): 9.3916 7.9707 5.6552
angles (deg): 90.00 98.77 90.00
Space group C2/c (No. 15)
Unique sites:
Zn  0.0000  0.0925  0.2500 [4 per cell]
Zn  0.0936  0.3488  0.5741 [8 per cell]
Cr  0.2348  0.1033  0.9242 [8 per cell]
N  0.1029  0.2555  0.0411 [8 per cell]
N  0.1805  0.0762  0.6177 [8 per cell]

Main lines, sorted by position (5° ≤ 2θ ≤ 70°):
2.726 Å, 32.9 deg, I 58, hkl 3 1 -1
2.639 Å, 34.0 deg, I 46, hkl 1 1 -2
2.555 Å, 35.1 deg, I 100, hkl 2 2 1
2.247 Å, 40.1 deg, I 21, hkl 2 0 2
1.959 Å, 46.3 deg, I 34, hkl 3 3 -1
1.808 Å, 50.5 deg, I 17, hkl 5 1 0

# Zn2CrN2
Computed X-ray powder pattern, Cu Ka. Input: a structure optimized by DFT (PBE).
No peak broadening, texture or thermal motion is included.

Structure:
a b c (Å): 10.0905 4.5892 6.1853
angles (deg): 90.00 121.61 90.00
Space group C2/m (No. 12)
Unique sites:
Zn  0.0602  0.0000  0.3105 [4 per cell]
Zn  0.2067  0.5000  0.7493 [4 per cell]
Cr  0.1429  0.5000  0.1545 [4 per cell]
N  0.0301  0.5000  0.8097 [4 per cell]
N  0.1568  0.0000  0.7168 [4 per cell]

Main lines, sorted by position (5° ≤ 2θ ≤ 70°):
2.884 Å, 31.0 deg, I 77, hkl 1 1 1
2.634 Å, 34.0 deg, I 83, hkl 0 0 2
2.430 Å, 37.0 deg, I 54, hkl 3 1 0
2.393 Å, 37.6 deg, I 79, hkl 3 1 -2
2.295 Å, 39.3 deg, I 100, hkl 0 2 0
1.807 Å, 50.5 deg, I 44, hkl 5 1 -1

# ZnCr2N2
Computed X-ray powder pattern, Cu Ka. Input: a structure optimized by DFT (PBE).
No peak broadening, texture or thermal motion is included.

Structure:
a b c (Å): 3.6720 3.6720 5.4041
angles (deg): 90.00 90.00 90.00
Space group P-4m2 (No. 115)
Unique sites:
Zn  0.0000  0.0000  0.0000 [1 per cell]
Cr  0.5000  0.5000  0.2477 [2 per cell]
N  0.0000  0.5000  0.7621 [2 per cell]

Main lines, sorted by position (5° ≤ 2θ ≤ 70°):
5.404 Å, 16.4 deg, I 48, hkl 0 0 1
3.037 Å, 29.4 deg, I 47, hkl 1 0 1
2.597 Å, 34.5 deg, I 62, hkl 1 1 0
2.176 Å, 41.5 deg, I 100, hkl 1 0 2
1.836 Å, 49.7 deg, I 36, hkl 2 0 0
1.403 Å, 66.6 deg, I 43, hkl 2 1 2

# ZnCrN2
Computed X-ray powder pattern, Cu Ka. Input: a structure optimized by DFT (PBE).
No peak broadening, texture or thermal motion is included.

Structure:
a b c (Å): 5.5457 6.3745 5.2326
angles (deg): 90.00 90.00 90.00
Space group Pna2_1 (No. 33)
Unique sites:
Zn  0.0889  0.1211  0.0000 [4 per cell]
Cr  0.0750  0.6269  0.9966 [4 per cell]
N  0.0658  0.6112  0.3540 [4 per cell]
N  0.1031  0.1401  0.3924 [4 per cell]

Main lines, sorted by position (5° ≤ 2θ ≤ 70°):
2.763 Å, 32.4 deg, I 46, hkl 1 2 0
2.616 Å, 34.3 deg, I 56, hkl 0 0 2
2.450 Å, 36.7 deg, I 49, hkl 2 0 1
2.444 Å, 36.8 deg, I 100, hkl 1 2 1
1.901 Å, 47.9 deg, I 31, hkl 1 2 2
1.475 Å, 63.0 deg, I 45, hkl 1 2 3